(1)
For Pr4Ga3Au, a PBE-relaxed structure gives the simulated powder XRD pattern in this record (Cu Kα (weighted mean of Kα1 and Kα2)).
Kinematic intensities with the Lorentz-polarization factor, no thermal factor.

Cell lengths 4.3482, 4.3862, 11.3558 Å; angles 90.00, 90.00, 90.00 degrees
Space group Pmm2 (No. 25)
Asymmetric unit:
1 Pr 0.0000 0.0000 0.0000 x1
2 Pr 0.0000 0.5000 0.4982 x1
3 Pr 0.5000 0.0000 0.2822 x1
4 Pr 0.5000 0.5000 0.7838 x1
5 Ga 0.0000 0.0000 0.7117 x1
6 Ga 0.0000 0.5000 0.2191 x1
7 Ga 0.5000 0.0000 0.5711 x1
8 Au 0.5000 0.5000 0.0658 x1

Top 8 peaks for 2θ = 10–80°, sorted by position:
d/Å	2θ (°)	intensity
2.980	30.0	100
2.866	31.2	39
2.839	31.5	22
2.393	37.6	60
2.377	37.8	27
2.193	41.2	25
2.174	41.5	25
1.735	52.7	20

***

(2)
For Pr2Ga3Au9, a PBE-relaxed structure gives the simulated powder XRD pattern in this record (Cu Kα (weighted mean of Kα1 and Kα2)).
Kinematic intensities with the Lorentz-polarization factor, no thermal factor.

Cell lengths 14.0904, 8.0936, 10.8917 Å; angles 90.00, 115.62, 90.00 degrees
Space group C2/c (No. 15)
Asymmetric unit:
1 Pr 0.1677 0.0848 0.2458 x8
2 Ga 0.0872 0.2256 0.4943 x8
3 Ga 0.2500 0.2500 0.0000 x4
4 Au 0.0000 0.3622 0.2500 x4
5 Au 0.0582 0.0879 0.9163 x8
6 Au 0.1065 0.4107 0.0670 x8
7 Au 0.1105 0.3130 0.7389 x8
8 Au 0.2226 0.4190 0.4287 x8

Top 8 peaks for 2θ = 10–80°, sorted by position:
d/Å	2θ (°)	intensity
3.129	28.5	11
2.548	35.2	100
2.348	38.3	23
2.339	38.5	42
1.726	53.1	11
1.391	67.3	14
1.388	67.5	12
1.386	67.6	14

***

(3)
For PrGa3Au3, a PBE-relaxed structure gives the simulated powder XRD pattern in this record (Cu Kα (weighted mean of Kα1 and Kα2)).
Kinematic intensities with the Lorentz-polarization factor, no thermal factor.

Cell lengths 9.1020, 9.1020, 4.8223 Å; angles 90.00, 90.00, 120.00 degrees
Space group P6_3/m (No. 176)
Asymmetric unit:
1 Pr 0.3333 0.6667 0.2500 x2
2 Ga 0.0308 0.6725 0.7500 x6
3 Au 0.0741 0.3996 0.7500 x6

Top 8 peaks for 2θ = 10–80°, sorted by position:
d/Å	2θ (°)	intensity
7.883	11.2	78
3.310	26.9	52
3.052	29.3	90
2.628	34.1	100
2.535	35.4	82
2.411	37.3	60
1.777	51.4	62
1.693	54.2	54

***

(4)
For PrGa3Au4, a PBE-relaxed structure gives the simulated powder XRD pattern in this record (Cu Kα (weighted mean of Kα1 and Kα2)).
Kinematic intensities with the Lorentz-polarization factor, no thermal factor.

Cell lengths 4.4587, 4.4587, 8.1875 Å; angles 90.00, 90.00, 90.00 degrees
Space group P4/mmm (No. 123)
Asymmetric unit:
1 Pr 0.0000 0.0000 0.0000 x1
2 Ga 0.0000 0.0000 0.5000 x1
3 Ga 0.5000 0.5000 0.1510 x2
4 Au 0.0000 0.5000 0.3159 x4

Top 8 peaks for 2θ = 10–80°, sorted by position:
d/Å	2θ (°)	intensity
3.153	28.3	34
2.942	30.4	70
2.498	36.0	100
2.229	40.5	97
2.063	43.9	79
1.727	53.0	31
1.576	58.6	33
1.253	76.0	34

***

(5)
For Pr2Ga4Pt3Au, a PBE-relaxed structure gives the simulated powder XRD pattern in this record (Cu Kα (weighted mean of Kα1 and Kα2)).
Kinematic intensities with the Lorentz-polarization factor, no thermal factor.

Cell lengths 4.3514, 4.3514, 10.5287 Å; angles 90.00, 90.00, 90.00 degrees
Space group P-4m2 (No. 115)
Asymmetric unit:
1 Pr 0.0000 0.5000 0.2413 x2
2 Ga 0.0000 0.0000 0.0000 x1
3 Ga 0.0000 0.5000 0.6352 x2
4 Ga 0.5000 0.5000 0.0000 x1
5 Pt 0.0000 0.5000 0.8710 x2
6 Pt 0.5000 0.5000 0.5000 x1
7 Au 0.0000 0.0000 0.5000 x1

Top 8 peaks for 2θ = 10–80°, sorted by position:
d/Å	2θ (°)	intensity
2.953	30.3	32
2.732	32.8	55
2.656	33.7	100
2.176	41.5	70
2.000	45.3	37
1.895	48.0	25
1.702	53.9	27
1.538	60.1	24

***

(6)
For PrZn2GaAu2, a PBE-relaxed structure gives the simulated powder XRD pattern in this record (Cu Kα (weighted mean of Kα1 and Kα2)).
Kinematic intensities with the Lorentz-polarization factor, no thermal factor.

Cell lengths 4.6438, 4.6438, 5.9294 Å; angles 90.00, 90.00, 90.00 degrees
Space group P4/mmm (No. 123)
Asymmetric unit:
1 Pr 0.0000 0.0000 0.0000 x1
2 Zn 0.0000 0.5000 0.5000 x2
3 Ga 0.0000 0.0000 0.5000 x1
4 Au 0.5000 0.5000 0.2322 x2

Top 8 peaks for 2θ = 10–80°, sorted by position:
d/Å	2θ (°)	intensity
4.644	19.1	20
3.284	27.2	62
2.873	31.1	26
2.499	35.9	100
2.322	38.8	64
2.201	41.0	19
1.701	53.9	63
1.642	56.0	22

***

(7)
For PrZn2GaAu, a PBE-relaxed structure gives the simulated powder XRD pattern in this record (Cu Kα (weighted mean of Kα1 and Kα2)).
Kinematic intensities with the Lorentz-polarization factor, no thermal factor.

Cell lengths 4.3770, 4.3798, 10.4997 Å; angles 90.00, 90.00, 90.00 degrees
Space group Imm2 (No. 44)
Asymmetric unit:
1 Pr 0.0000 0.0000 0.0000 x2
2 Zn 0.0000 0.0000 0.6190 x2
3 Zn 0.0000 0.5000 0.2512 x2
4 Ga 0.0000 0.0000 0.3864 x2
5 Au 0.0000 0.5000 0.7524 x2

Top 8 peaks for 2θ = 10–80°, sorted by position:
d/Å	2θ (°)	intensity
4.041	22.0	26
2.734	32.8	39
2.667	33.6	100
2.189	41.2	48
2.002	45.3	17
1.893	48.1	18
1.709	53.6	19
1.339	70.3	23

***

(8)
For Ga6Pt5Au, a PBE-relaxed structure gives the simulated powder XRD pattern in this record (Cu Kα (weighted mean of Kα1 and Kα2)).
Kinematic intensities with the Lorentz-polarization factor, no thermal factor.

Cell lengths 5.6379, 10.3133, 7.2168 Å; angles 90.00, 101.10, 90.00 degrees
Space group C2/m (No. 12)
Asymmetric unit:
1 Ga 0.1543 0.0000 0.1893 x4
2 Ga 0.2030 0.1900 0.7068 x8
3 Pt 0.0000 0.0000 0.5000 x2
4 Pt 0.0000 0.2225 0.0000 x4
5 Pt 0.0000 0.3735 0.5000 x4
6 Au 0.0000 0.5000 0.0000 x2

Top 8 peaks for 2θ = 10–80°, sorted by position:
d/Å	2θ (°)	intensity
3.541	25.1	48
2.766	32.4	30
2.608	34.4	93
2.419	37.2	100
2.001	45.3	24
1.934	47.0	57
1.770	51.6	19
1.646	55.9	21